1.
# Y2TiZn2Rh5
Simulated powder diffractogram, Cu Kα X-rays. Input: a DFT-relaxed cell (GGA-PBE, Alexandria).
Lines closer than 0.1° are merged.

Structure:
```
Y2TiZn2Rh5
1.0
9.8812 0.0000 0.0000
0.0000 9.8812 0.0000
0.0000 0.0000 3.4593
Y Ti Zn Rh
4 2 4 10
Cartesian
1.6945 3.2461 0.0000 Y
3.2461 8.1867 0.0000 Y
6.6352 1.6945 0.0000 Y
8.1867 6.6352 0.0000 Y
0.0000 0.0000 0.0000 Ti
4.9406 4.9406 0.0000 Ti
1.2588 6.1994 0.0000 Zn
3.6818 1.2588 0.0000 Zn
6.1994 8.6224 0.0000 Zn
8.6224 3.6818 0.0000 Zn
0.0000 4.9406 1.7297 Rh
0.6309 7.9373 1.7297 Rh
1.9439 0.6309 1.7297 Rh
2.9967 5.5715 1.7297 Rh
4.3097 2.9967 1.7297 Rh
4.9406 0.0000 1.7297 Rh
5.5715 6.8846 1.7297 Rh
6.8846 4.3097 1.7297 Rh
7.9373 9.2503 1.7297 Rh
9.2503 1.9439 1.7297 Rh
```

Most intense lines, 2θ = 10–90°, in order of rising 2θ:
- 2θ = 36.56°, I = 15
- 2θ = 37.53°, I = 48
- 2θ = 38.66°, I = 25
- 2θ = 38.84°, I = 100
- 2θ = 40.84°, I = 12
- 2θ = 42.06°, I = 39
- 2θ = 45.10°, I = 16
- 2θ = 52.94°, I = 20
- 2θ = 65.56°, I = 12
- 2θ = 66.69°, I = 17


2.
# TiZn3Rh
Simulated powder diffractogram, Cu Kα X-rays. Input: a DFT-relaxed cell (GGA-PBE, Alexandria).
Lines closer than 0.1° are merged.

Structure:
```
TiZn3Rh
1.0
3.0268 -3.4644 0.0000
3.0268 3.4644 0.0000
-0.1353 0.0000 7.4913
Ti Zn Rh
2 6 2
Cartesian
2.9254 3.2350 5.6184 Ti
2.9930 -3.2350 1.8728 Ti
1.4458 1.7322 3.7456 Zn
1.9910 0.8325 6.8817 Zn
2.0587 -0.8325 3.1361 Zn
1.5134 -1.7322 0.0000 Zn
3.8597 0.8325 4.3552 Zn
3.9274 -0.8325 0.6095 Zn
2.9930 1.3020 1.8728 Rh
2.9254 -1.3020 5.6184 Rh
```

Most intense lines, 2θ = 10–90°, in order of rising 2θ:
- 2θ = 19.47°, I = 25
- 2θ = 22.98°, I = 23
- 2θ = 30.69°, I = 35
- 2θ = 38.58°, I = 100
- 2θ = 40.97°, I = 58
- 2θ = 41.25°, I = 68
- 2θ = 41.86°, I = 43
- 2θ = 43.73°, I = 65
- 2θ = 44.74°, I = 55
- 2θ = 48.33°, I = 42